# 1
GdGaRh2: computed powder diffractogram (CuKα), based on a DFT-relaxed cell (PBE, the Materials Project).
Intensities are scaled so that the largest is 1000.

Structure:
```
GdGaRh2
1.0
0.000 3.258 3.258
3.258 0.000 3.258
3.258 3.258 0.000
Gd Ga Rh
1 1 2
Direct
0.000 0.000 0.000
0.500 0.500 0.500
0.250 0.250 0.250
0.750 0.750 0.750
```

Top 9 peaks for 2θ = 10–90°, sorted by position:
3.762 Å, intensity 84
2.304 Å, intensity 1000
1.965 Å, intensity 43
1.629 Å, intensity 169
1.495 Å, intensity 18
1.330 Å, intensity 338
1.254 Å, intensity 14
1.152 Å, intensity 107
1.101 Å, intensity 15

***

# 2
GdGa3Ru: computed powder diffractogram (CuKα), based on a DFT-relaxed cell (PBE, the Materials Project).
Intensities are scaled so that the largest is 1000.

Structure:
```
GdGa3Ru
1.0
6.467 0.000 0.000
0.000 6.467 0.000
0.000 0.000 6.467
Gd Ga Ru
3 9 3
Direct
0.000 0.000 0.500
0.000 0.500 0.000
0.500 0.000 0.000
0.000 0.000 0.000
0.289 0.289 0.289
0.289 0.289 0.711
0.289 0.711 0.289
0.289 0.711 0.711
0.711 0.289 0.289
0.711 0.289 0.711
0.711 0.711 0.289
0.711 0.711 0.711
0.000 0.500 0.500
0.500 0.000 0.500
0.500 0.500 0.000
```

Top 10 peaks for 2θ = 10–90°, sorted by position:
4.573 Å, intensity 81
3.233 Å, intensity 83
2.892 Å, intensity 144
2.640 Å, intensity 82
2.286 Å, intensity 1000
2.156 Å, intensity 68
1.617 Å, intensity 136
1.568 Å, intensity 67
1.446 Å, intensity 88
1.320 Å, intensity 239

***

# 3
Gd4GaSbS9: computed powder diffractogram (CuKα), based on a DFT-relaxed cell (PBE, the Materials Project).
Intensities are scaled so that the largest is 1000.

Structure:
```
Gd4GaSbS9
1.0
13.644 0.000 0.000
0.000 6.993 7.102
0.000 -6.993 7.102
Gd Ga Sb S
16 4 4 36
Direct
0.101 0.172 0.828
0.104 0.665 0.442
0.182 0.449 0.118
0.186 0.901 0.120
0.314 0.401 0.620
0.318 0.949 0.618
0.396 0.165 0.942
0.399 0.672 0.328
0.601 0.328 0.672
0.604 0.942 0.165
0.682 0.618 0.949
0.686 0.620 0.401
0.814 0.120 0.901
0.818 0.118 0.449
0.896 0.442 0.665
0.899 0.828 0.172
0.092 0.168 0.378
0.408 0.668 0.878
0.592 0.878 0.668
0.908 0.378 0.168
0.113 0.660 0.821
0.387 0.160 0.321
0.613 0.321 0.160
0.887 0.821 0.660
0.000 0.364 0.364
0.000 0.992 0.992
0.008 0.374 0.983
0.068 0.679 0.173
0.081 0.846 0.657
0.099 0.477 0.657
0.190 0.171 0.567
0.198 0.174 0.197
0.246 0.851 0.382
0.249 0.988 0.874
0.251 0.488 0.374
0.254 0.351 0.882
0.302 0.674 0.697
0.310 0.671 0.067
0.401 0.977 0.157
0.419 0.346 0.157
0.432 0.179 0.673
0.492 0.874 0.483
0.500 0.492 0.492
0.500 0.864 0.864
0.508 0.483 0.874
0.568 0.673 0.179
0.581 0.157 0.346
0.599 0.157 0.977
0.690 0.067 0.671
0.698 0.697 0.674
0.746 0.882 0.351
0.749 0.374 0.488
0.751 0.874 0.988
0.754 0.382 0.851
0.802 0.197 0.174
0.810 0.567 0.171
0.901 0.657 0.477
0.919 0.657 0.846
0.932 0.173 0.679
0.992 0.983 0.374
```

Top 10 peaks for 2θ = 10–90°, sorted by position:
3.551 Å, intensity 615
3.497 Å, intensity 308
3.359 Å, intensity 1000
3.227 Å, intensity 322
2.987 Å, intensity 260
2.683 Å, intensity 309
2.632 Å, intensity 289
2.491 Å, intensity 437
2.460 Å, intensity 262
1.815 Å, intensity 525

***

# 4
GdZn2Ga2: computed powder diffractogram (CuKα), based on a DFT-relaxed cell (PBE, the Materials Project).
Intensities are scaled so that the largest is 1000.

Structure:
```
GdZn2Ga2
1.0
-2.100 2.100 5.311
2.100 -2.100 5.311
2.100 2.100 -5.311
Gd Zn Ga
1 2 2
Direct
0.000 0.000 0.000
0.388 0.388 0.000
0.612 0.612 0.000
0.250 0.750 0.500
0.750 0.250 0.500
```

Top 10 peaks for 2θ = 10–90°, sorted by position:
2.970 Å, intensity 156
2.707 Å, intensity 554
2.592 Å, intensity 1000
2.100 Å, intensity 506
1.896 Å, intensity 309
1.660 Å, intensity 252
1.485 Å, intensity 162
1.407 Å, intensity 226
1.289 Å, intensity 216
1.122 Å, intensity 112

***

# 5
GaGe3: computed powder diffractogram (CuKα), based on a DFT-relaxed cell (PBE, the Materials Project).
Intensities are scaled so that the largest is 1000.

Structure:
```
GaGe3
1.0
4.278 0.000 0.000
0.000 4.278 0.000
0.000 0.000 4.278
Ga Ge
1 3
Direct
0.000 0.000 0.000
0.000 0.500 0.500
0.500 0.000 0.500
0.500 0.500 0.000
```

Top 5 peaks for 2θ = 10–90°, sorted by position:
2.470 Å, intensity 1000
2.139 Å, intensity 491
1.513 Å, intensity 317
1.290 Å, intensity 367
1.235 Å, intensity 106

***

# 6
GaGe3: computed powder diffractogram (CuKα), based on a DFT-relaxed cell (PBE, the Materials Project).
Intensities are scaled so that the largest is 1000.

Structure:
```
GaGe3
1.0
0.000 3.387 3.387
3.387 0.000 3.387
3.387 3.387 0.000
Ga Ge
1 3
Direct
0.000 0.000 0.000
0.250 0.250 0.250
0.500 0.500 0.500
0.750 0.750 0.750
```

Top 4 peaks for 2θ = 10–90°, sorted by position:
2.395 Å, intensity 1000
1.694 Å, intensity 170
1.383 Å, intensity 339
1.198 Å, intensity 105

***

# 7
GaGe: computed powder diffractogram (CuKα), based on a DFT-relaxed cell (PBE, the Materials Project).
Intensities are scaled so that the largest is 1000.

Structure:
```
GaGe
1.0
0.000 2.898 2.898
2.898 0.000 2.898
2.898 2.898 0.000
Ga Ge
1 1
Direct
0.000 0.000 0.000
0.250 0.250 0.250
```

Top 7 peaks for 2θ = 10–90°, sorted by position:
3.346 Å, intensity 1000
2.049 Å, intensity 755
1.747 Å, intensity 453
1.449 Å, intensity 120
1.330 Å, intensity 178
1.183 Å, intensity 242
1.115 Å, intensity 136

***

# 8
GaGe3: computed powder diffractogram (CuKα), based on a DFT-relaxed cell (PBE, the Materials Project).
Intensities are scaled so that the largest is 1000.

Structure:
```
GaGe3
1.0
5.985 0.000 0.000
-2.993 5.183 0.000
0.000 0.000 5.035
Ga Ge
2 6
Direct
0.333 0.667 0.250
0.667 0.333 0.750
0.164 0.327 0.750
0.164 0.836 0.750
0.327 0.164 0.250
0.673 0.836 0.750
0.836 0.164 0.250
0.836 0.673 0.250
```

Top 10 peaks for 2θ = 10–90°, sorted by position:
2.592 Å, intensity 234
2.517 Å, intensity 288
2.304 Å, intensity 1000
1.806 Å, intensity 156
1.496 Å, intensity 165
1.409 Å, intensity 203
1.286 Å, intensity 197
1.255 Å, intensity 136
1.152 Å, intensity 35
1.132 Å, intensity 33

***

# 9
SrGaGeH: computed powder diffractogram (CuKα), based on a DFT-relaxed cell (PBE, the Materials Project).
Intensities are scaled so that the largest is 1000.

Structure:
```
SrGaGeH
1.0
4.265 0.000 0.000
-2.132 3.693 0.000
0.000 0.000 4.964
Sr Ga Ge H
1 1 1 1
Direct
0.000 0.000 0.000
0.333 0.667 0.441
0.667 0.333 0.562
0.333 0.667 0.084
```

Top 10 peaks for 2θ = 10–90°, sorted by position:
2.963 Å, intensity 1000
2.482 Å, intensity 147
2.132 Å, intensity 412
2.060 Å, intensity 116
1.731 Å, intensity 202
1.617 Å, intensity 231
1.510 Å, intensity 133
1.344 Å, intensity 172
1.232 Å, intensity 134
1.103 Å, intensity 67

***

# 10
Ho3Mn3Ga2Ge: computed powder diffractogram (CuKα), based on a DFT-relaxed cell (PBE, the Materials Project).
Intensities are scaled so that the largest is 1000.

Structure:
```
Ho3Mn3Ga2Ge
1.0
7.092 0.000 0.000
-3.546 6.142 0.000
0.000 0.000 4.020
Ho Mn Ga Ge
3 3 2 1
Direct
0.000 0.412 0.000
0.412 0.000 0.000
0.588 0.588 0.000
0.000 0.769 0.500
0.231 0.231 0.500
0.769 0.000 0.500
0.333 0.667 0.500
0.667 0.333 0.500
0.000 0.000 0.000
```

Top 10 peaks for 2θ = 10–90°, sorted by position:
3.546 Å, intensity 220
3.071 Å, intensity 213
2.659 Å, intensity 1000
2.441 Å, intensity 902
2.322 Å, intensity 394
2.047 Å, intensity 191
2.010 Å, intensity 396
1.569 Å, intensity 315
1.520 Å, intensity 201
1.330 Å, intensity 243

***

# 11
Ho3Mn3Ga2Ge: computed powder diffractogram (CuKα), based on a DFT-relaxed cell (PBE, the Materials Project).
Intensities are scaled so that the largest is 1000.

Structure:
```
Ho3Mn3Ga2Ge
1.0
6.982 0.000 0.000
-3.491 6.047 0.000
0.000 0.000 4.123
Ho Mn Ga Ge
3 3 2 1
Direct
0.089 0.754 0.000
0.246 0.335 0.000
0.665 0.911 0.000
0.438 0.101 0.500
0.663 0.562 0.500
0.899 0.337 0.500
0.000 0.000 0.500
0.667 0.333 0.000
0.333 0.667 0.500
```

Top 10 peaks for 2θ = 10–90°, sorted by position:
3.491 Å, intensity 162
3.024 Å, intensity 251
2.664 Å, intensity 895
2.438 Å, intensity 1000
2.286 Å, intensity 383
2.062 Å, intensity 266
1.677 Å, intensity 182
1.554 Å, intensity 317
1.531 Å, intensity 210
1.315 Å, intensity 167

***

Number 10 is which compound? Ho3Mn3Ga2Ge